Theoretical powder XRD pattern
Compound: InAgBr2F
Radiation: λ = 1.5418 Å (Cu Kα)
Structure: a DFT-relaxed cell (PBE, Alexandria)
Peak positions follow from Bragg's law for the DFT cell and can differ from measured ones.

Main lines, low angle first (10° ≤ 2θ ≤ 90°):
- 2.903 Å, I = 100, (1 1 1)
- 2.870 Å, I = 60, (2 0 0)
- 2.076 Å, I = 11, (0 0 2)
- 2.029 Å, I = 21, (2 2 0)
- 1.682 Å, I = 23, (2 0 2)
- 1.663 Å, I = 37, (3 1 1)
- 1.451 Å, I = 14, (2 2 2)
- 1.092 Å, I = 11, (4 2 2)

Crystal structure
Cell lengths 5.740, 5.740, 4.153 Å; angles 90.00, 90.00, 90.00 degrees
Fractional positions:
1 In 0.000 0.000 0.000
2 Ag 0.500 0.500 0.000
3 Br 0.000 0.500 0.500
4 Br 0.500 0.000 0.500
5 F 0.500 0.500 0.500